For Ba3AlCd, DFT lattice parameters and positions (PBE) gives the simulated X-ray powder pattern in this record (copper Kα).
No peak broadening, texture or thermal motion is included.

Most intense lines, 5° ≤ 2θ ≤ 70°, sorted by position:
h k l	2theta	I (rel.)
1 0 0	13.5	2.5
1 1 1	23.5	100.0
2 0 0	27.2	64.9
2 1 0	30.4	1.3
2 2 0	38.8	49.7
3 1 1	45.8	49.5
2 2 2	48.0	17.8
4 0 0	56.0	8.4
3 3 1	61.5	20.4
4 2 0	63.3	23.1

Structure:
a = 6.568 Å, b = 6.568 Å, c = 6.568 Å
α = 90.00°, β = 90.00°, γ = 90.00°
Space group Pm-3m (No. 221)
Inequivalent atoms, fractional coordinates:
Ba 0.000 0.000 0.500
Al 0.000 0.000 0.000
Cd 0.500 0.500 0.500

For Tm2H8Rh3, DFT lattice parameters and positions (PBE) gives the simulated X-ray powder pattern in this record (copper Kα).
No peak broadening, texture or thermal motion is included.

Most intense lines, 5° ≤ 2θ ≤ 70°, sorted by position:
h k l	2theta	I (rel.)
1 1 -1	24.1	56.5
1 1 1	29.5	100.0
2 0 1	32.8	40.0
3 1 -1	33.8	73.3
3 1 0	34.7	67.0
2 0 -2	36.7	83.6
0 2 1	37.3	68.5
2 2 0	38.0	50.3
2 2 -1	39.2	58.7
4 2 1	62.5	35.8

Structure:
a = 9.368 Å, b = 5.635 Å, c = 4.976 Å
α = 90.00°, β = 111.16°, γ = 90.00°
Space group C2/m (No. 12)
Inequivalent atoms, fractional coordinates:
Tm 0.198 0.000 0.194
H 0.105 0.500 0.380
H 0.108 0.294 0.881
H 0.130 0.000 0.582
Rh 0.000 0.245 0.500
Rh 0.000 0.500 0.000

For Ba2PrOs2N6, DFT lattice parameters and positions (PBE) gives the simulated X-ray powder pattern in this record (copper Kα).
No peak broadening, texture or thermal motion is included.

Most intense lines, 5° ≤ 2θ ≤ 70°, sorted by position:
h k l	2theta	I (rel.)
0 1 5	28.6	100.0
1 1 0	29.0	96.3
2 0 5	41.2	39.6
1 0 10	50.5	18.5
1 2 5	51.2	40.9
3 0 0	51.4	20.0
0 2 10	59.3	9.0
2 2 0	60.1	15.5
2 1 10	67.4	15.6
3 1 5	67.9	17.4

Structure:
a = 6.1567 Å, b = 6.1567 Å, c = 19.2041 Å
α = 90.00°, β = 90.00°, γ = 120.00°
Space group R-3m (No. 166, hexagonal axes)
Inequivalent atoms, fractional coordinates:
Ba 0.0000 0.0000 0.2128
Pr 0.0000 0.0000 0.0000
Os 0.0000 0.0000 0.4039
N 0.0053 0.5026 0.2448

For Gd4Sb2H, DFT lattice parameters and positions (PBE) gives the simulated X-ray powder pattern in this record (copper Kα).
No peak broadening, texture or thermal motion is included.

Most intense lines, 5° ≤ 2θ ≤ 70°, sorted by position:
h k l	2theta	I (rel.)
1 1 2	29.8	100.0
0 0 6	31.4	36.5
1 0 5	32.8	31.8
1 1 4	35.0	84.0
2 0 0	39.8	59.2
2 0 6	51.5	36.1
2 1 5	52.5	16.7
2 2 0	57.6	20.0
3 1 2	66.2	20.6
3 1 4	69.2	22.9

Structure:
a = 4.527 Å, b = 4.527 Å, c = 17.119 Å
α = 90.00°, β = 90.00°, γ = 90.00°
Space group I4/mmm (No. 139)
Inequivalent atoms, fractional coordinates:
Gd 0.000 0.000 0.179
Gd 0.000 0.500 0.000
Sb 0.000 0.000 0.363
H 0.000 0.000 0.000

For Ac2CeSe4, DFT lattice parameters and positions (PBE) gives the simulated X-ray powder pattern in this record (copper Kα).
No peak broadening, texture or thermal motion is included.

Most intense lines, 5° ≤ 2θ ≤ 70°, sorted by position:
h k l	2theta	I (rel.)
0 2 3	22.0	100.0
1 3 0	27.7	24.6
1 3 1	28.4	48.4
1 3 2	30.4	74.5
1 1 5	38.0	41.1
1 5 2	39.1	27.3
0 6 3	41.1	38.5
2 0 0	42.5	28.1
2 2 3	48.3	25.6
2 6 3	60.6	24.8

Structure:
a = 4.253 Å, b = 14.788 Å, c = 14.511 Å
α = 90.00°, β = 90.00°, γ = 90.00°
Space group Cmcm (No. 63)
Inequivalent atoms, fractional coordinates:
Ac 0.000 0.131 0.073
Ce 0.000 0.375 0.250
Se 0.000 0.018 0.250
Se 0.000 0.221 0.626
Se 0.000 0.500 0.000

For Pr6Nd5Dy2, DFT lattice parameters and positions (PBE) gives the simulated X-ray powder pattern in this record (copper Kα).
No peak broadening, texture or thermal motion is included.

Most intense lines, 5° ≤ 2θ ≤ 70°, sorted by position:
h k l	2theta	I (rel.)
4 1 0	30.3	50.3
1 7 0	30.5	100.0
3 5 0	30.9	14.0
2 3 1	31.3	89.7
2 4 1	33.3	35.6
3 6 0	34.0	14.7
3 3 1	35.6	35.5
0 0 2	49.5	18.7
4 1 2	59.2	15.7
1 7 2	59.3	15.7

Structure:
a = 11.903 Å, b = 21.140 Å, c = 3.680 Å
α = 90.00°, β = 90.00°, γ = 90.00°
Space group Pbam (No. 55)
Inequivalent atoms, fractional coordinates:
Pr 0.063 0.081 0.000
Pr 0.083 0.368 0.000
Pr 0.175 0.638 0.500
Nd 0.000 0.500 0.500
Nd 0.087 0.227 0.500
Nd 0.197 0.945 0.500
Dy 0.169 0.790 0.000

For YbAgSe2, DFT lattice parameters and positions (PBE) gives the simulated X-ray powder pattern in this record (copper Kα).
No peak broadening, texture or thermal motion is included.

Most intense lines, 5° ≤ 2θ ≤ 70°, sorted by position:
h k l	2theta	I (rel.)
1 0 2	24.3	36.4
1 1 2	27.8	100.0
1 1 3	31.4	58.1
0 2 3	33.0	34.6
1 2 2	36.3	49.8
0 2 4	37.3	78.3
1 0 6	44.5	42.0
2 1 1	44.6	35.2
1 3 1	46.2	26.8
2 1 3	48.5	33.7

Structure:
a = 4.312 Å, b = 6.712 Å, c = 13.850 Å
α = 90.00°, β = 90.00°, γ = 90.00°
Space group P2_12_12_1 (No. 19)
Inequivalent atoms, fractional coordinates:
Yb 0.243 0.201 0.375
Ag 0.005 0.702 0.373
Se 0.240 0.502 0.524
Se 0.243 0.097 0.725

For NdGa4NiPd2, DFT lattice parameters and positions (PBE) gives the simulated X-ray powder pattern in this record (copper Kα).
No peak broadening, texture or thermal motion is included.

Most intense lines, 5° ≤ 2θ ≤ 70°, sorted by position:
h k l	2theta	I (rel.)
0 0 3	10.0	8.6
1 0 4	27.7	15.6
0 1 5	29.5	32.7
1 0 7	34.0	8.8
0 1 8	36.5	82.4
1 1 0	42.4	100.0
0 1 11	45.0	22.8
1 0 13	51.3	12.5
2 0 8	57.1	21.9
1 1 12	60.4	10.9

Structure:
a = 4.2671 Å, b = 4.2671 Å, c = 26.4140 Å
α = 90.00°, β = 90.00°, γ = 120.00°
Space group R-3m (No. 166, hexagonal axes)
Inequivalent atoms, fractional coordinates:
Nd 0.0000 0.0000 0.0000
Ga 0.0000 0.0000 0.1353
Ga 0.0000 0.0000 0.4028
Ni 0.0000 0.0000 0.5000
Pd 0.0000 0.0000 0.2362

For Pr12Dy2Y5, DFT lattice parameters and positions (PBE) gives the simulated X-ray powder pattern in this record (copper Kα).
No peak broadening, texture or thermal motion is included.

Most intense lines, 5° ≤ 2θ ≤ 70°, sorted by position:
h k l	2theta	I (rel.)
4 2 -1	29.9	100.0
2 0 -3	30.4	37.5
6 0 1	30.8	41.0
8 0 -2	33.1	36.4
2 2 2	36.0	49.9
6 2 -4	49.5	17.9
10 2 0	49.9	19.3
12 2 -3	57.2	14.1
6 4 1	60.6	11.6
8 4 -2	62.0	11.7

Structure:
a = 22.631 Å, b = 7.189 Å, c = 8.854 Å
α = 90.00°, β = 110.45°, γ = 90.00°
Space group C2/m (No. 12)
Inequivalent atoms, fractional coordinates:
Pr 0.048 0.000 0.195
Pr 0.106 0.244 0.885
Pr 0.142 0.500 0.557
Pr 0.200 0.247 0.293
Dy 0.000 0.242 0.500
Y 0.000 0.500 0.000
Y 0.150 0.000 0.598
Y 0.249 0.500 0.991

For Zn2Ni2Pb, DFT lattice parameters and positions (PBE) gives the simulated X-ray powder pattern in this record (copper Kα).
No peak broadening, texture or thermal motion is included.

Most intense lines, 5° ≤ 2θ ≤ 70°, sorted by position:
h k l	2theta	I (rel.)
1 1 0	18.0	27.0
2 0 0	25.6	26.5
0 0 1	28.1	19.5
1 1 1	33.6	57.5
2 2 0	36.5	25.8
2 0 1	38.3	42.5
2 1 1	40.5	69.0
3 1 0	41.0	100.0
2 2 1	46.7	22.2
3 1 1	50.4	33.9

Structure:
a = 6.966 Å, b = 6.966 Å, c = 3.178 Å
α = 90.00°, β = 90.00°, γ = 90.00°
Space group P4/mbm (No. 127)
Inequivalent atoms, fractional coordinates:
Zn 0.145 0.355 0.000
Ni 0.142 0.642 0.500
Pb 0.000 0.000 0.500

For Dy2Ga7Pd, DFT lattice parameters and positions (PBE) gives the simulated X-ray powder pattern in this record (copper Kα).
No peak broadening, texture or thermal motion is included.

Most intense lines, 5° ≤ 2θ ≤ 70°, sorted by position:
h k l	2theta	I (rel.)
1 1 0	30.2	11.9
1 0 3	32.7	52.6
0 0 4	33.1	7.9
1 1 2	34.5	100.0
2 0 0	43.2	48.9
1 0 5	47.2	29.4
2 1 3	55.2	23.6
1 1 6	60.0	11.2
2 2 0	62.8	15.8
2 1 5	65.9	21.3

Structure:
a = 4.188 Å, b = 4.188 Å, c = 10.841 Å
α = 90.00°, β = 90.00°, γ = 90.00°
Space group P-4m2 (No. 115)
Inequivalent atoms, fractional coordinates:
Dy 0.000 0.500 0.244
Ga 0.000 0.000 0.000
Ga 0.000 0.000 0.500
Ga 0.000 0.500 0.642
Ga 0.000 0.500 0.866
Ga 0.500 0.500 0.500
Pd 0.500 0.500 0.000

For K3Ba2RhO6, DFT lattice parameters and positions (PBE) gives the simulated X-ray powder pattern in this record (copper Kα).
No peak broadening, texture or thermal motion is included.

Most intense lines, 5° ≤ 2θ ≤ 70°, sorted by position:
h k l	2theta	I (rel.)
0 0 1	14.3	100.0
1 3 0	28.1	29.5
0 0 2	28.9	41.5
1 3 -1	29.4	76.6
2 0 0	29.5	38.3
1 3 1	33.9	99.4
2 0 -2	34.1	49.5
2 0 2	48.4	46.2
3 3 -1	49.2	29.8
3 3 -3	58.2	25.4

Structure:
a = 6.397 Å, b = 11.179 Å, c = 6.534 Å
α = 90.00°, β = 108.86°, γ = 90.00°
Space group C2/m (No. 12)
Inequivalent atoms, fractional coordinates:
K 0.000 0.000 0.000
K 0.000 0.349 0.000
Ba 0.000 0.168 0.500
Rh 0.000 0.500 0.500
O 0.195 0.369 0.694
O 0.205 0.500 0.312

What is the formula in the third record?
Ba2PrOs2N6